# La2GaFeO6
Calculated X-ray diffraction stick pattern, copper Kα. Input: a GGA+U-relaxed structure.

Structure:
```
data_La2GaFeO6
_space_group_name_H-M_alt 'P 1'
_space_group_IT_number 1
_cell_length_a 5.5850
_cell_length_b 5.5992
_cell_length_c 9.6736
_cell_angle_alpha 90.00
_cell_angle_beta 125.19
_cell_angle_gamma 90.00
loop_
_space_group_symop_operation_xyz
'x,y,z'
loop_
_atom_site_label
_atom_site_fract_x
_atom_site_fract_y
_atom_site_fract_z
_atom_site_occupancy
La1 0.2418 0.0304 0.2497 1
La2 0.2418 0.4696 0.7497 1
La3 0.7582 0.5304 0.2503 1
La4 0.7582 0.9696 0.7503 1
Ga1 0.0000 0.0000 0.5000 1
Ga2 0.0000 0.5000 0.0000 1
Fe1 0.5000 0.0000 0.0000 1
Fe2 0.5000 0.5000 0.5000 1
O1 0.1736 0.2186 0.9569 1
O2 0.1736 0.2814 0.4569 1
O3 0.2367 0.7162 0.9567 1
O4 0.2367 0.7838 0.4567 1
O5 0.3290 0.0163 0.7486 1
O6 0.3290 0.4837 0.2486 1
O7 0.6710 0.5163 0.7514 1
O8 0.6710 0.9837 0.2514 1
O9 0.7633 0.2162 0.5433 1
O10 0.7633 0.2838 0.0433 1
O11 0.8264 0.7186 0.5431 1
O12 0.8264 0.7814 0.0431 1
```

Principal peaks in the range 2θ from 10° to 90°, by intensity:
32.01 deg, d 2.796, rel. 100, hkl 1 1 1
57.04 deg, d 1.615, rel. 29, hkl 3 1 -1
45.91 deg, d 1.977, rel. 28, hkl 0 0 4
39.48 deg, d 2.283, rel. 12, hkl 2 0 -4
57.13 deg, d 1.612, rel. 11, hkl 3 1 -5
22.49 deg, d 3.954, rel. 11, hkl 0 0 2
76.12 deg, d 1.251, rel. 9, hkl 1 1 5
67.00 deg, d 1.397, rel. 8, hkl 4 0 -4
66.89 deg, d 1.399, rel. 7, hkl 2 2 2
76.19 deg, d 1.250, rel. 5, hkl 1 1 -7
51.70 deg, d 1.768, rel. 3, hkl 1 1 -5
53.01 deg, d 1.727, rel. 3, hkl 1 3 -2